# 1
This entry pairs a crystal structure of Sr5NdBi4 with its calculated XRD peak list. Radiation: Cu Kα (weighted mean of Kα1 and Kα2). Structure: DFT lattice parameters and positions (PBE).

Atomic structure:
```
Sr5NdBi4
1.0
8.9955 -2.7193 0.0000
8.9955 2.7193 0.0000
-0.3431 0.0000 8.2482
Sr Nd Bi
5 1 4
Direct
0.0000 0.0000 0.0000 Sr
0.3342 0.3342 0.4936 Sr
0.3397 0.3397 0.0089 Sr
0.6603 0.6603 0.9911 Sr
0.6658 0.6658 0.5064 Sr
0.0000 0.0000 0.5000 Nd
0.1807 0.1807 0.7479 Bi
0.4830 0.4830 0.7439 Bi
0.5170 0.5170 0.2561 Bi
0.8193 0.8193 0.2521 Bi
```

Main lines, by angle (10° ≤ 2θ ≤ 90°):
2θ 20.1, rel. 29; 2θ 20.3, rel. 18; 2θ 22.1, rel. 19; 2θ 22.9, rel. 25; 2θ 29.8, rel. 45; 2θ 30.6, rel. 100; 2θ 31.5, rel. 90; 2θ 32.9, rel. 43; 2θ 43.9, rel. 20; 2θ 45.0, rel. 29; 2θ 52.8, rel. 25; 2θ 56.0, rel. 19

# 2
This entry pairs a crystal structure of TbNd5Bi5 with its calculated XRD peak list. Radiation: Cu Kα (weighted mean of Kα1 and Kα2). Structure: DFT lattice parameters and positions (PBE).

Atomic structure:
```
TbNd5Bi5
1.0
7.1751 -3.2211 0.0000
7.1751 3.2211 0.0000
-2.9001 0.0000 8.6023
Tb Nd Bi
1 5 5
Direct
0.0000 0.0000 0.0000 Tb
0.0000 0.0000 0.5000 Nd
0.3310 0.3310 0.6660 Nd
0.3364 0.3364 0.1710 Nd
0.6636 0.6636 0.8290 Nd
0.6690 0.6690 0.3340 Nd
0.1648 0.1648 0.3309 Bi
0.1668 0.1668 0.8360 Bi
0.5000 0.5000 0.0000 Bi
0.8332 0.8332 0.1640 Bi
0.8352 0.8352 0.6691 Bi
```

Main lines, by angle (10° ≤ 2θ ≤ 90°):
2θ 27.7, rel. 100; 2θ 27.9, rel. 49; 2θ 39.7, rel. 98; 2θ 39.8, rel. 19; 2θ 49.1, rel. 42; 2θ 64.7, rel. 10; 2θ 64.8, rel. 19; 2θ 64.9, rel. 9; 2θ 65.1, rel. 18; 2θ 71.9, rel. 21; 2θ 72.1, rel. 14; 2θ 72.2, rel. 7

# 3
This entry pairs a crystal structure of Tb3Nd2Bi2 with its calculated XRD peak list. Radiation: Cu Kα (weighted mean of Kα1 and Kα2). Structure: DFT lattice parameters and positions (PBE).

Atomic structure:
```
Tb3Nd2Bi2
1.0
12.4454 0.0000 0.0000
0.0000 4.3712 0.0000
-2.9038 0.0000 8.3438
Tb Nd Bi
6 4 4
Direct
0.0000 0.0000 0.0000 Tb
0.1249 0.0000 0.4479 Tb
0.3751 0.5000 0.5521 Tb
0.5000 0.5000 0.0000 Tb
0.6249 0.5000 0.4479 Tb
0.8751 0.0000 0.5521 Tb
0.1290 0.5000 0.7852 Nd
0.3710 0.0000 0.2148 Nd
0.6290 0.0000 0.7852 Nd
0.8710 0.5000 0.2148 Nd
0.1712 0.5000 0.1984 Bi
0.3288 0.0000 0.8016 Bi
0.6712 0.0000 0.1984 Bi
0.8288 0.5000 0.8016 Bi
```

Main lines, by angle (10° ≤ 2θ ≤ 90°):
2θ 28.7, rel. 26; 2θ 29.9, rel. 98; 2θ 30.4, rel. 25; 2θ 30.7, rel. 69; 2θ 32.3, rel. 100; 2θ 32.9, rel. 37; 2θ 35.6, rel. 20; 2θ 36.5, rel. 29; 2θ 36.9, rel. 24; 2θ 41.3, rel. 41; 2θ 56.3, rel. 30; 2θ 56.4, rel. 27